Entry 1:
For PmPr4Ho2, DFT lattice parameters and positions (PBE) gives the calculated X-ray diffraction stick pattern in this record (Cu Kα X-rays).
No peak broadening, texture or thermal motion is included.

Structure:
```
PmPr4Ho2
1.0
6.2424 0.0000 0.0000
0.0000 6.7207 0.0000
-3.0541 0.0000 11.4632
Pm Pr Ho
2 8 4
direct
0.1547 0.2500 0.1568 Pm
0.8453 0.7500 0.8432 Pm
0.0202 0.2500 0.8571 Pr
0.1503 0.2500 0.4462 Pr
0.3541 0.5057 0.7142 Pr
0.3541 0.9943 0.7142 Pr
0.6459 0.0057 0.2858 Pr
0.6459 0.4943 0.2858 Pr
0.8497 0.7500 0.5538 Pr
0.9798 0.7500 0.1429 Pr
0.2893 0.7500 0.4301 Ho
0.4011 0.7500 0.0026 Ho
0.5989 0.2500 0.9974 Ho
0.7107 0.2500 0.5699 Ho
```

Main lines, by angle (10° ≤ 2θ ≤ 90°):
- 28.6 deg, I 36.3
- 30.5 deg, I 29.2
- 30.8 deg, I 100.0
- 30.9 deg, I 57.2
- 32.4 deg, I 59.7
- 32.6 deg, I 66.2

Entry 2:
For Pm2Pr2Ho5, DFT lattice parameters and positions (PBE) gives the calculated X-ray diffraction stick pattern in this record (Cu Kα X-rays).
No peak broadening, texture or thermal motion is included.

Structure:
```
Pm2Pr2Ho5
1.0
-7.5130 5.9624 3.3774
7.5130 -5.9624 3.3774
7.5130 5.9624 -3.3774
Pm Pr Ho
4 4 10
direct
0.0035 0.1265 0.1300 Pm
0.0035 0.3735 0.3770 Pm
0.9965 0.6265 0.6230 Pm
0.9965 0.8735 0.8700 Pm
0.4533 0.4533 0.0000 Pr
0.4533 0.9533 0.5000 Pr
0.5382 0.7974 0.2408 Pr
0.5565 0.2974 0.7592 Pr
0.0929 0.0986 0.4943 Ho
0.1030 0.4795 0.9077 Ho
0.1030 0.6953 0.1235 Ho
0.4048 0.2008 0.3104 Ho
0.4048 0.5944 0.7040 Ho
0.5719 0.1953 0.0923 Ho
0.5719 0.9795 0.8765 Ho
0.6043 0.5986 0.5057 Ho
0.8904 0.0944 0.6896 Ho
0.8904 0.7008 0.2960 Ho
```

Main lines, by angle (10° ≤ 2θ ≤ 90°):
- 28.2 deg, I 77.2
- 30.0 deg, I 100.0
- 30.4 deg, I 71.8
- 30.7 deg, I 63.4
- 32.7 deg, I 65.7
- 35.5 deg, I 58.1